For Pr10Y6Mg, a structure optimized by DFT (GGA-PBE) gives the simulated powder diffractogram in this record (Cu Kα (weighted mean of Kα1 and Kα2)).
Kinematic intensities with the Lorentz-polarization factor, no thermal factor.

Largest 10 diffraction maxima, in order of rising 2θ, 15° ≤ 2θ ≤ 90°:
d/Å  2θ/deg  I/Imax
4.284  20.7  12
3.238  27.5  19
2.936  30.4  49
2.856  31.3  71
2.847  31.4  100
2.016  45.0  24
1.892  48.1  16
1.648  55.8  18
1.642  56.0  19
1.503  61.7  12

Structural model:
a = 9.8929 Å, b = 9.8929 Å, c = 6.9627 Å
α = 90.00°, β = 90.00°, γ = 120.00°
Space group P-31m (No. 162)
Unique sites:
Pr 0.0000 0.2662 0.3198 (multiplicity 6)
Pr 0.3333 0.6667 0.0000 (multiplicity 2)
Pr 0.3333 0.6667 0.5000 (multiplicity 2)
Y 0.0000 0.3685 0.8156 (multiplicity 6)
Mg 0.0000 0.0000 0.0000 (multiplicity 1)